Starting from the GGA-PBE geometry in Alexandria, the PXRD pattern of Ca16MgAl12 was simulated for CuKα.
Lines closer than 0.1° are merged.

Crystal structure
Cell: 11.673 16.022 10.140 Å, 90.00 123.93 90.00°
Space group Cm (No. 8)
Asymmetric unit:
Ca 0.000 0.000 0.000 [2 per cell]
Ca 0.011 0.326 0.290 [4 per cell]
Ca 0.061 0.000 0.602 [2 per cell]
Ca 0.139 0.209 0.613 [4 per cell]
Ca 0.296 0.376 0.288 [4 per cell]
Ca 0.326 0.308 0.990 [4 per cell]
Ca 0.341 0.000 0.292 [2 per cell]
Ca 0.352 0.000 0.624 [2 per cell]
Ca 0.399 0.356 0.698 [4 per cell]
Ca 0.489 0.157 0.891 [4 per cell]
Mg 0.190 0.500 0.954 [2 per cell]
Al 0.096 0.098 0.324 [4 per cell]
Al 0.110 0.411 0.646 [4 per cell]
Al 0.164 0.184 0.132 [4 per cell]
Al 0.187 0.500 0.461 [2 per cell]
Al 0.245 0.092 0.948 [4 per cell]
Al 0.347 0.187 0.478 [4 per cell]
Al 0.497 0.000 0.099 [2 per cell]

Principal peaks in the range 2θ from 5° to 70°, in order of rising 2θ:
(hkl), 2theta, d [Å], intensity
0 4 2, 30.82, 2.901, 23
0 0 3, 31.91, 2.804, 33
4 0 -1, 32.25, 2.776, 55
3 3 0, 32.44, 2.760, 100
4 2 -2, 32.67, 2.741, 57
3 3 -3, 32.89, 2.723, 49
1 5 1, 33.02, 2.713, 39
1 5 -2, 33.18, 2.700, 60
0 6 0, 33.56, 2.670, 19
3 5 -1, 36.65, 2.452, 20
2 2 2, 37.02, 2.428, 27
7 3 -4, 58.33, 1.582, 21